# 1
The following is a simulated powder diffractogram of UCuAs2. It was derived from a structure optimized by DFT (PBE), using Cu Kα (weighted mean of Kα1 and Kα2).
Lines closer than 0.1° are merged.

Structure:
a = 3.953 Å, b = 3.953 Å, c = 9.540 Å
α = 90.00°, β = 90.00°, γ = 90.00°
Space group P4/nmm (No. 129, origin choice 2)
One atom of each set of equivalent atoms:
U  0.250  0.250  0.234
Cu  0.250  0.750  0.500
As  0.250  0.250  0.665
As  0.250  0.750  0.000

Largest 10 diffraction maxima, in order of falling intensity, 2θ = 5–70°:
d/Å  Rel. int.
2.412  100.0
3.652  44.1
1.976  34.1
2.478  31.5
1.718  15.9
1.545  15.3
2.385  14.6
1.522  14.5
3.044  14.3
1.738  11.9

***

# 2
The following is a simulated powder diffractogram of Ba2MgV2S6. It was derived from a structure optimized by DFT (PBE), using Cu Kα (weighted mean of Kα1 and Kα2).
Lines closer than 0.1° are merged.

Structure:
a = 6.204 Å, b = 6.819 Å, c = 7.013 Å
α = 118.68°, β = 102.85°, γ = 91.90°
Space group P1 (No. 1)
One atom of each set of equivalent atoms:
Ba  0.000  0.000  0.000
Ba  0.392  0.746  0.493
Mg  0.590  0.154  0.293
V  0.121  0.402  0.792
V  0.647  0.410  0.804
S  0.301  0.247  0.489
S  0.429  0.250  0.972
S  0.451  0.746  0.965
S  0.824  0.076  0.598
S  0.840  0.528  0.584
S  0.968  0.565  0.100

Largest 10 diffraction maxima, in order of falling intensity, 2θ = 5–70°:
d/Å  Rel. int.
3.411  100.0
4.925  52.4
2.542  47.7
2.836  43.6
2.770  42.0
2.488  41.4
2.237  30.9
2.960  29.8
2.787  29.4
3.347  28.7

***

# 3
The following is a simulated powder diffractogram of Li5CuP3O11. It was derived from a structure optimized by DFT (PBE), using Cu Kα (weighted mean of Kα1 and Kα2).
Lines closer than 0.1° are merged.

Structure:
a = 5.390 Å, b = 8.266 Å, c = 9.599 Å
α = 96.24°, β = 90.70°, γ = 95.08°
Space group P-1 (No. 2)
One atom of each set of equivalent atoms:
Li  0.000  0.005  0.349
Li  0.195  0.382  0.812
Li  0.237  0.649  0.676
Li  0.264  0.331  0.164
Li  0.311  0.627  0.350
Cu  0.000  0.000  0.000
Cu  0.500  0.000  0.500
P  0.235  0.677  0.025
P  0.252  0.303  0.487
P  0.465  0.966  0.195
O  0.009  0.236  0.982
O  0.064  0.162  0.520
O  0.147  0.394  0.369
O  0.203  0.567  0.143
O  0.257  0.072  0.158
O  0.269  0.957  0.795
O  0.320  0.601  0.885
O  0.322  0.418  0.624
O  0.383  0.880  0.325
O  0.463  0.815  0.071
O  0.499  0.228  0.433

Largest 10 diffraction maxima, in order of falling intensity, 2θ = 5–70°:
d/Å  Rel. int.
8.183  100.0
4.047  79.3
4.770  76.5
3.290  46.1
2.621  45.4
4.723  42.0
3.823  36.0
2.728  26.0
2.657  26.0
2.486  24.7

***

# 4
The following is a simulated powder diffractogram of YZnPd. It was derived from a structure optimized by DFT (PBE), using Cu Kα (weighted mean of Kα1 and Kα2).
Lines closer than 0.1° are merged.

Structure:
a = 7.3609 Å, b = 7.3609 Å, c = 3.8328 Å
α = 90.00°, β = 90.00°, γ = 120.00°
Space group P-62m (No. 189)
One atom of each set of equivalent atoms:
Y  0.0000  0.4070  0.0000
Zn  0.0000  0.7478  0.5000
Pd  0.0000  0.0000  0.0000
Pd  0.3333  0.6667  0.5000

Largest 10 diffraction maxima, in order of falling intensity, 2θ = 5–70°:
d/Å  Rel. int.
2.451  100.0
2.655  81.2
2.125  44.7
2.040  39.6
2.409  36.8
1.366  31.2
1.916  25.7
1.423  23.8
1.500  15.8
3.680  14.9

***

# 5
The following is a simulated powder diffractogram of PtAu. It was derived from a structure optimized by DFT (PBE), using Cu Kα (weighted mean of Kα1 and Kα2).
Lines closer than 0.1° are merged.

Structure:
a = 2.8451 Å, b = 2.8451 Å, c = 4.8016 Å
α = 90.00°, β = 90.00°, γ = 120.00°
Space group P-6m2 (No. 187)
One atom of each set of equivalent atoms:
Pt  0.0000  0.0000  0.0000
Au  0.3333  0.6667  0.5000

Largest 5 diffraction maxima, in order of falling intensity, 2θ = 5–70°:
d/Å  Rel. int.
2.192  100.0
2.401  28.8
2.464  23.2
1.423  17.1
1.720  15.9